[1]
Diffraction record for Ba2LiAlAu6. The X-ray powder pattern is calculated, not measured: it uses DFT lattice parameters and positions (PBE) and Cu Kα (λ = 1.5418 Å).
Peak positions follow from Bragg's law for the DFT cell and can differ from measured ones.

Principal peaks in the range 2θ from 10° to 90°, low angle first:
| (hkl) | 2theta | I/Imax |
| --- | --- | --- |
| 1 3 0 | 29.39 | 18.4 |
| 2 2 0 | 30.78 | 100.0 |
| 2 2 -2 | 31.16 | 93.1 |
| 0 4 0 | 35.53 | 39.1 |
| 4 0 -2 | 36.10 | 64.2 |
| 4 4 -2 | 51.55 | 49.0 |
| 6 2 -2 | 61.42 | 15.9 |
| 6 2 -4 | 62.08 | 13.4 |

Cell and atoms:
```
data_Ba2LiAlAu6
_chemical_formula_sum 'Ba4 Li2 Al2 Au12'
_space_group_name_H-M_alt 'C 1 2/m 1'
_space_group_IT_number 12
_space_group_name_Hall '-C 2y'
_cell_length_a 9.944
_cell_length_b 10.105
_cell_length_c 6.976
_cell_angle_alpha 90.00
_cell_angle_beta 134.45
_cell_angle_gamma 90.00
loop_
_atom_site_label
_atom_site_type_symbol
_atom_site_fract_x
_atom_site_fract_y
_atom_site_fract_z
_atom_site_occupancy
Ba1 Ba 0.000 0.215 0.000 1
Li1 Li 0.000 0.000 0.500 1
Al1 Al 0.000 0.500 0.500 1
Au1 Au 0.000 0.247 0.500 1
Au2 Au 0.210 0.500 0.415 1
Au3 Au 0.211 0.500 0.005 1
```


[2]
Diffraction record for In2Hg3Pb2. The X-ray powder pattern is calculated, not measured: it uses DFT lattice parameters and positions (PBE) and Cu Kα (λ = 1.5418 Å).
Peak positions follow from Bragg's law for the DFT cell and can differ from measured ones.

Principal peaks in the range 2θ from 10° to 90°, low angle first:
| (hkl) | 2theta | I/Imax |
| --- | --- | --- |
| 0 0 2 | 24.96 | 36.6 |
| 1 0 2 | 30.73 | 61.8 |
| 2 1 -1 | 33.41 | 47.3 |
| 1 2 -2 | 33.74 | 100.0 |
| 1 3 1 | 35.06 | 44.4 |
| 2 1 1 | 35.87 | 33.8 |
| 2 2 0 | 36.19 | 47.7 |
| 3 2 2 | 60.00 | 32.7 |

Cell and atoms:
```
data_In2Hg3Pb2
_chemical_formula_sum 'In4 Hg6 Pb4'
_space_group_name_H-M_alt 'P 1 21/c 1'
_space_group_IT_number 14
_space_group_name_Hall '-P 2ybc'
_cell_length_a 5.837
_cell_length_b 9.576
_cell_length_c 7.175
_cell_angle_alpha 90.00
_cell_angle_beta 96.11
_cell_angle_gamma 90.00
loop_
_atom_site_label
_atom_site_type_symbol
_atom_site_fract_x
_atom_site_fract_y
_atom_site_fract_z
_atom_site_occupancy
In1 In 0.001 0.250 0.250 1
Hg1 Hg 0.000 0.000 0.000 1
Hg2 Hg 0.263 0.000 0.566 1
Pb1 Pb 0.499 0.688 0.500 1
```


[3]
Diffraction record for InNiRu. The X-ray powder pattern is calculated, not measured: it uses DFT lattice parameters and positions (PBE) and Cu Kα (λ = 1.5418 Å).
Peak positions follow from Bragg's law for the DFT cell and can differ from measured ones.

Principal peaks in the range 2θ from 10° to 90°, low angle first:
| (hkl) | 2theta | I/Imax |
| --- | --- | --- |
| 1 1 1 | 29.51 | 16.6 |
| 0 1 3 | 36.12 | 16.3 |
| 0 2 0 | 38.73 | 15.5 |
| 2 0 0 | 40.37 | 36.0 |
| 1 1 3 | 41.56 | 100.0 |
| 1 2 0 | 43.90 | 31.6 |
| 3 1 3 | 74.22 | 16.9 |
| 2 3 3 | 82.54 | 12.9 |

Cell and atoms:
```
data_InNiRu
_chemical_formula_sum 'In4 Ni4 Ru4'
_space_group_name_H-M_alt 'A m a 2'
_space_group_IT_number 40
_space_group_name_Hall 'A 2 -2a'
_cell_length_a 4.468
_cell_length_b 4.650
_cell_length_c 8.829
_cell_angle_alpha 90.00
_cell_angle_beta 90.00
_cell_angle_gamma 90.00
loop_
_atom_site_label
_atom_site_type_symbol
_atom_site_fract_x
_atom_site_fract_y
_atom_site_fract_z
_atom_site_occupancy
In1 In 0.250 0.203 0.000 1
Ni1 Ni 0.250 0.162 0.680 1
Ru1 Ru 0.250 0.166 0.312 1
```


[4]
Diffraction record for Lu3CrS6. The X-ray powder pattern is calculated, not measured: it uses DFT lattice parameters and positions (PBE) and Cu Kα (λ = 1.5418 Å).
Peak positions follow from Bragg's law for the DFT cell and can differ from measured ones.

Principal peaks in the range 2θ from 10° to 90°, low angle first:
| (hkl) | 2theta | I/Imax |
| --- | --- | --- |
| 2 4 0 | 26.41 | 83.9 |
| 1 2 1 | 27.49 | 45.1 |
| 4 1 0 | 27.83 | 46.7 |
| 2 1 1 | 28.27 | 44.8 |
| 2 3 1 | 32.61 | 40.8 |
| 3 3 1 | 36.13 | 100.0 |
| 0 5 1 | 37.49 | 50.5 |
| 5 1 1 | 42.68 | 54.2 |

Cell and atoms:
```
data_Lu3CrS6
_chemical_formula_sum 'Lu12 Cr4 S24'
_space_group_name_H-M_alt 'P n n m'
_space_group_IT_number 58
_space_group_name_Hall '-P 2 2n'
_cell_length_a 13.098
_cell_length_b 15.755
_cell_length_c 3.701
_cell_angle_alpha 90.00
_cell_angle_beta 90.00
_cell_angle_gamma 90.00
loop_
_atom_site_label
_atom_site_type_symbol
_atom_site_fract_x
_atom_site_fract_y
_atom_site_fract_z
_atom_site_occupancy
Lu1 Lu 0.049 0.222 0.000 1
Lu2 Lu 0.182 0.647 0.000 1
Lu3 Lu 0.243 0.901 0.500 1
Cr1 Cr 0.000 0.000 0.500 1
Cr2 Cr 0.000 0.500 0.500 1
S1 S 0.021 0.401 0.000 1
S2 S 0.083 0.923 0.000 1
S3 S 0.105 0.753 0.500 1
S4 S 0.119 0.111 0.500 1
S5 S 0.182 0.520 0.500 1
S6 S 0.189 0.290 0.500 1
```


[5]
Diffraction record for Cs2MgPaS4. The X-ray powder pattern is calculated, not measured: it uses DFT lattice parameters and positions (PBE) and Cu Kα (λ = 1.5418 Å).
Peak positions follow from Bragg's law for the DFT cell and can differ from measured ones.

Principal peaks in the range 2θ from 10° to 90°, low angle first:
| (hkl) | 2theta | I/Imax |
| --- | --- | --- |
| 0 0 4 | 13.68 | 54.5 |
| 1 1 1 | 15.12 | 72.1 |
| 1 3 1 | 22.64 | 86.1 |
| 0 2 6 | 23.79 | 100.0 |
| 1 3 5 | 28.31 | 76.8 |
| 2 2 0 | 29.70 | 40.8 |
| 2 0 6 | 34.32 | 35.1 |
| 2 4 6 | 42.16 | 30.3 |

Cell and atoms:
```
data_Cs2MgPaS4
_chemical_formula_sum 'Cs16 Mg8 Pa8 S32'
_space_group_name_H-M_alt 'F d d d'
_space_group_IT_number 70
_cell_length_a 6.569
_cell_length_b 14.986
_cell_length_c 25.882
_cell_angle_alpha 90.00
_cell_angle_beta 90.00
_cell_angle_gamma 90.00
loop_
_space_group_symop_operation_xyz
'x,y,z'
'-x,-y,-z'
'-x+1/4,-y+1/4,z'
'x+1/4,y+1/4,-z'
'x,-y+1/4,-z+1/4'
'-x,y+1/4,z+1/4'
'-x+1/4,y,-z+1/4'
'x+1/4,-y,z+1/4'
'x,y+1/2,z+1/2'
'-x,-y+1/2,-z+1/2'
'-x+1/4,-y+3/4,z+1/2'
'x+1/4,y+3/4,-z+1/2'
'x,-y+3/4,-z+3/4'
'-x,y+3/4,z+3/4'
'-x+1/4,y+1/2,-z+3/4'
'x+1/4,-y+1/2,z+3/4'
'x+1/2,y,z+1/2'
'-x+1/2,-y,-z+1/2'
'-x+3/4,-y+1/4,z+1/2'
'x+3/4,y+1/4,-z+1/2'
'x+1/2,-y+1/4,-z+3/4'
'-x+1/2,y+1/4,z+3/4'
'-x+3/4,y,-z+3/4'
'x+3/4,-y,z+3/4'
'x+1/2,y+1/2,z'
'-x+1/2,-y+1/2,-z'
'-x+3/4,-y+3/4,z'
'x+3/4,y+3/4,-z'
'x+1/2,-y+3/4,-z+1/4'
'-x+1/2,y+3/4,z+1/4'
'-x+3/4,y+1/2,-z+1/4'
'x+3/4,-y+1/2,z+1/4'
loop_
_atom_site_label
_atom_site_type_symbol
_atom_site_fract_x
_atom_site_fract_y
_atom_site_fract_z
_atom_site_occupancy
Cs1 Cs 0.125 0.125 0.304 1
Mg1 Mg 0.125 0.125 0.625 1
Pa1 Pa 0.125 0.125 0.125 1
S1 S 0.117 0.279 0.826 1
```


[6]
Diffraction record for TbPrRhAu. The X-ray powder pattern is calculated, not measured: it uses DFT lattice parameters and positions (PBE) and Cu Kα (λ = 1.5418 Å).
Peak positions follow from Bragg's law for the DFT cell and can differ from measured ones.

Principal peaks in the range 2θ from 10° to 90°, low angle first:
| (hkl) | 2theta | I/Imax |
| --- | --- | --- |
| 1 1 1 | 31.13 | 100.0 |
| 0 0 4 | 33.69 | 25.7 |
| 0 1 3 | 34.20 | 20.7 |
| 2 0 0 | 38.73 | 33.3 |
| 1 0 4 | 39.01 | 24.5 |
| 1 1 3 | 39.46 | 69.5 |
| 0 2 0 | 46.69 | 19.6 |
| 2 2 0 | 62.22 | 16.6 |

Cell and atoms:
```
data_TbPrRhAu
_chemical_formula_sum 'Tb2 Pr2 Rh2 Au2'
_space_group_name_H-M_alt 'A m m 2'
_space_group_IT_number 38
_space_group_name_Hall 'A 2 -2'
_cell_length_a 4.650
_cell_length_b 3.891
_cell_length_c 10.642
_cell_angle_alpha 90.00
_cell_angle_beta 90.00
_cell_angle_gamma 90.00
loop_
_atom_site_label
_atom_site_type_symbol
_atom_site_fract_x
_atom_site_fract_y
_atom_site_fract_z
_atom_site_occupancy
Tb1 Tb 0.000 0.000 0.000 1
Pr1 Pr 0.500 0.000 0.720 1
Rh1 Rh 0.500 0.000 0.456 1
Au1 Au 0.000 0.000 0.284 1
```


[7]
Diffraction record for K4P2O7. The X-ray powder pattern is calculated, not measured: it uses DFT lattice parameters and positions (PBE) and Cu Kα (λ = 1.5418 Å).
Peak positions follow from Bragg's law for the DFT cell and can differ from measured ones.

Principal peaks in the range 2θ from 10° to 90°, low angle first:
| (hkl) | 2theta | I/Imax |
| --- | --- | --- |
| 1 0 1 | 18.05 | 42.1 |
| 1 0 4 | 29.29 | 65.5 |
| 1 1 0 | 29.76 | 100.0 |
| 1 0 5 | 34.43 | 27.5 |
| 2 0 3 | 39.02 | 30.4 |
| 2 0 4 | 42.25 | 39.7 |
| 3 0 0 | 52.82 | 14.9 |
| 2 2 0 | 61.81 | 19.7 |

Cell and atoms:
```
data_K4P2O7
_chemical_formula_sum 'K8 P4 O14'
_space_group_name_H-M_alt 'P 63/m m c'
_space_group_IT_number 194
_space_group_name_Hall '-P 6c 2c'
_cell_length_a 6.0038
_cell_length_b 6.0038
_cell_length_c 15.0557
_cell_angle_alpha 90.00
_cell_angle_beta 90.00
_cell_angle_gamma 120.00
loop_
_atom_site_label
_atom_site_type_symbol
_atom_site_fract_x
_atom_site_fract_y
_atom_site_fract_z
_atom_site_occupancy
K1 K 0.0000 0.0000 0.0000 1
K2 K 0.0000 0.0000 0.2500 1
K3 K 0.3333 0.6667 0.0814 1
P1 P 0.3333 0.6667 0.6424 1
O1 O 0.1915 0.3831 0.6141 1
O2 O 0.3333 0.6667 0.7500 1
```


[8]
Diffraction record for Tb4Sc5Tl. The X-ray powder pattern is calculated, not measured: it uses DFT lattice parameters and positions (PBE) and Cu Kα (λ = 1.5418 Å).
Peak positions follow from Bragg's law for the DFT cell and can differ from measured ones.

Principal peaks in the range 2θ from 10° to 90°, low angle first:
| (hkl) | 2theta | I/Imax |
| --- | --- | --- |
| 1 0 1 | 18.29 | 20.2 |
| 2 1 1 | 25.38 | 60.3 |
| 3 1 0 | 27.75 | 25.5 |
| 3 0 1 | 30.97 | 100.0 |
| 1 1 2 | 34.83 | 24.8 |
| 3 3 0 | 37.53 | 47.3 |
| 2 2 2 | 41.25 | 26.7 |
| 3 0 3 | 56.97 | 39.0 |

Cell and atoms:
```
data_Tb4Sc5Tl
_chemical_formula_sum 'Tb8 Sc10 Tl2'
_space_group_name_H-M_alt 'I 4 m m'
_space_group_IT_number 107
_space_group_name_Hall 'I 4 -2'
_cell_length_a 10.168
_cell_length_b 10.168
_cell_length_c 5.518
_cell_angle_alpha 90.00
_cell_angle_beta 90.00
_cell_angle_gamma 90.00
loop_
_atom_site_label
_atom_site_type_symbol
_atom_site_fract_x
_atom_site_fract_y
_atom_site_fract_z
_atom_site_occupancy
Tb1 Tb 0.000 0.314 0.000 1
Sc1 Sc 0.000 0.000 0.776 1
Sc2 Sc 0.184 0.184 0.498 1
Tl1 Tl 0.000 0.000 0.262 1
```


[9]
Diffraction record for TmNbRe. The X-ray powder pattern is calculated, not measured: it uses DFT lattice parameters and positions (PBE) and Cu Kα (λ = 1.5418 Å).
Peak positions follow from Bragg's law for the DFT cell and can differ from measured ones.

Principal peaks in the range 2θ from 10° to 90°, low angle first:
| (hkl) | 2theta | I/Imax |
| --- | --- | --- |
| 0 0 2 | 16.39 | 8.2 |
| 1 0 1 | 28.22 | 9.4 |
| 1 0 3 | 36.89 | 100.0 |
| 1 1 0 | 38.51 | 48.9 |
| 2 0 0 | 55.59 | 16.9 |
| 1 1 6 | 65.38 | 14.2 |
| 2 1 3 | 68.60 | 32.7 |
| 2 0 6 | 78.51 | 8.5 |

Cell and atoms:
```
data_TmNbRe
_chemical_formula_sum 'Tm2 Nb2 Re2'
_space_group_name_H-M_alt 'I 4 m m'
_space_group_IT_number 107
_space_group_name_Hall 'I 4 -2'
_cell_length_a 3.306
_cell_length_b 3.306
_cell_length_c 10.814
_cell_angle_alpha 90.00
_cell_angle_beta 90.00
_cell_angle_gamma 90.00
loop_
_atom_site_label
_atom_site_type_symbol
_atom_site_fract_x
_atom_site_fract_y
_atom_site_fract_z
_atom_site_occupancy
Tm1 Tm 0.000 0.000 0.000 1
Nb1 Nb 0.000 0.000 0.300 1
Re1 Re 0.000 0.000 0.677 1
```


[10]
Diffraction record for Pa3CoTc2Ge3. The X-ray powder pattern is calculated, not measured: it uses DFT lattice parameters and positions (PBE) and Cu Kα (λ = 1.5418 Å).
Peak positions follow from Bragg's law for the DFT cell and can differ from measured ones.

Principal peaks in the range 2θ from 10° to 90°, low angle first:
| (hkl) | 2theta | I/Imax |
| --- | --- | --- |
| 1 1 0 | 25.21 | 23.0 |
| 1 1 1 | 34.39 | 100.0 |
| 2 0 1 | 37.49 | 68.0 |
| 2 1 0 | 38.95 | 36.4 |
| 3 0 0 | 44.42 | 19.3 |
| 0 0 2 | 47.02 | 19.6 |
| 3 1 0 | 54.05 | 25.4 |
| 3 1 1 | 59.49 | 28.6 |

Cell and atoms:
```
data_Pa3CoTc2Ge3
_chemical_formula_sum 'Pa3 Co1 Tc2 Ge3'
_space_group_name_H-M_alt 'P -6 2 m'
_space_group_IT_number 189
_space_group_name_Hall 'P -6 -2'
_cell_length_a 7.0649
_cell_length_b 7.0649
_cell_length_c 3.8654
_cell_angle_alpha 90.00
_cell_angle_beta 90.00
_cell_angle_gamma 120.00
loop_
_atom_site_label
_atom_site_type_symbol
_atom_site_fract_x
_atom_site_fract_y
_atom_site_fract_z
_atom_site_occupancy
Pa1 Pa 0.0000 0.5921 0.0000 1
Co1 Co 0.0000 0.0000 0.0000 1
Tc1 Tc 0.3333 0.6667 0.5000 1
Ge1 Ge 0.0000 0.2427 0.5000 1
```


[11]
Diffraction record for NdZn4Ga3. The X-ray powder pattern is calculated, not measured: it uses DFT lattice parameters and positions (PBE) and Cu Kα (λ = 1.5418 Å).
Peak positions follow from Bragg's law for the DFT cell and can differ from measured ones.

Principal peaks in the range 2θ from 10° to 90°, low angle first:
| (hkl) | 2theta | I/Imax |
| --- | --- | --- |
| 1 0 2 | 30.34 | 80.4 |
| 1 1 1 | 31.43 | 82.9 |
| 1 1 2 | 36.98 | 83.8 |
| 2 0 0 | 42.02 | 100.0 |
| 1 1 3 | 44.93 | 46.5 |
| 1 0 4 | 49.82 | 32.3 |
| 2 1 2 | 52.70 | 33.7 |
| 2 2 0 | 60.94 | 32.0 |

Cell and atoms:
```
data_NdZn4Ga3
_chemical_formula_sum 'Nd1 Zn4 Ga3'
_space_group_name_H-M_alt 'P 4/m m m'
_space_group_IT_number 123
_space_group_name_Hall '-P 4 2'
_cell_length_a 4.300
_cell_length_b 4.300
_cell_length_c 8.091
_cell_angle_alpha 90.00
_cell_angle_beta 90.00
_cell_angle_gamma 90.00
loop_
_atom_site_label
_atom_site_type_symbol
_atom_site_fract_x
_atom_site_fract_y
_atom_site_fract_z
_atom_site_occupancy
Nd1 Nd 0.000 0.000 0.000 1
Zn1 Zn 0.000 0.500 0.321 1
Ga1 Ga 0.000 0.000 0.500 1
Ga2 Ga 0.500 0.500 0.150 1
```


[12]
Diffraction record for ThMg2Zn2Ni. The X-ray powder pattern is calculated, not measured: it uses DFT lattice parameters and positions (PBE) and Cu Kα (λ = 1.5418 Å).
Peak positions follow from Bragg's law for the DFT cell and can differ from measured ones.

Principal peaks in the range 2θ from 10° to 90°, low angle first:
| (hkl) | 2theta | I/Imax |
| --- | --- | --- |
| 1 0 1 | 19.88 | 33.0 |
| 1 1 0 | 25.78 | 96.0 |
| 1 0 3 | 30.54 | 100.0 |
| 0 0 4 | 32.62 | 30.3 |
| 2 0 0 | 36.78 | 61.9 |
| 1 1 4 | 42.04 | 33.8 |
| 2 1 3 | 48.51 | 33.7 |
| 2 0 4 | 49.97 | 36.4 |

Cell and atoms:
```
data_ThMg2Zn2Ni
_chemical_formula_sum 'Th2 Mg4 Zn4 Ni2'
_space_group_name_H-M_alt 'I 4/m m m'
_space_group_IT_number 139
_space_group_name_Hall '-I 4 2'
_cell_length_a 4.887
_cell_length_b 4.887
_cell_length_c 10.979
_cell_angle_alpha 90.00
_cell_angle_beta 90.00
_cell_angle_gamma 90.00
loop_
_atom_site_label
_atom_site_type_symbol
_atom_site_fract_x
_atom_site_fract_y
_atom_site_fract_z
_atom_site_occupancy
Th1 Th 0.000 0.000 0.000 1
Mg1 Mg 0.000 0.500 0.250 1
Zn1 Zn 0.000 0.000 0.293 1
Ni1 Ni 0.000 0.000 0.500 1
```


Which formula does entry 1 have? Ba2LiAlAu6